Structure and computed X-ray diffraction stick pattern of Na4SiSe4 (a structure optimized by DFT (GGA-PBE); Cu Ka).

Main lines, most intense first (10 to 90 degrees two-theta):
| d_spacing | two_theta | I/Imax |
| --- | --- | --- |
| 3.436 | 25.9 | 100 |
| 5.704 | 15.5 | 87 |
| 3.037 | 29.4 | 66 |
| 3.240 | 27.5 | 51 |
| 2.893 | 30.9 | 46 |
| 2.453 | 36.6 | 45 |
| 2.113 | 42.8 | 39 |
| 3.503 | 25.4 | 36 |

Structural model:
```
data_Na4SiSe4
_chemical_formula_sum 'Na16 Si4 Se16'
_symmetry_space_group_name_H-M 'P n m a'
_symmetry_Int_Tables_number 62
_symmetry_space_group_name_Hall '-P 2ac 2n'
_cell_length_a 14.514
_cell_length_b 9.270
_cell_length_c 7.220
_cell_angle_alpha 90.00
_cell_angle_beta 90.00
_cell_angle_gamma 90.00
loop_
_atom_site_label
_atom_site_type_symbol
_atom_site_fract_x
_atom_site_fract_y
_atom_site_fract_z
_atom_site_occupancy
Na1 Na 0.000 0.000 0.000 1
Na2 Na 0.047 0.250 0.485 1
Na3 Na 0.232 0.552 0.358 1
Si1 Si 0.164 0.750 0.777 1
Se1 Se 0.095 0.547 0.656 1
Se2 Se 0.139 0.750 0.092 1
Se3 Se 0.184 0.250 0.179 1
```

***

Structure and computed X-ray diffraction stick pattern of Np2S5 (a structure optimized by DFT (GGA-PBE); Cu Ka).

Main lines, most intense first (10 to 90 degrees two-theta):
| d_spacing | two_theta | I/Imax |
| --- | --- | --- |
| 3.585 | 24.8 | 100 |
| 2.102 | 43.0 | 83 |
| 3.670 | 24.3 | 64 |
| 2.595 | 34.6 | 37 |
| 2.054 | 44.1 | 25 |
| 2.236 | 40.3 | 18 |
| 1.641 | 56.0 | 14 |
| 2.478 | 36.2 | 14 |

Structural model:
```
data_Np2S5
_chemical_formula_sum 'Np8 S20'
_symmetry_space_group_name_H-M 'P b c n'
_symmetry_Int_Tables_number 60
_symmetry_space_group_name_Hall '-P 2n 2ab'
_cell_length_a 7.334
_cell_length_b 9.913
_cell_length_c 7.346
_cell_angle_alpha 90.00
_cell_angle_beta 90.00
_cell_angle_gamma 90.00
loop_
_atom_site_label
_atom_site_type_symbol
_atom_site_fract_x
_atom_site_fract_y
_atom_site_fract_z
_atom_site_occupancy
Np1 Np 0.238 0.149 0.008 1
S1 S 0.000 0.252 0.750 1
S2 S 0.107 0.399 0.143 1
S3 S 0.131 0.105 0.382 1
```